Record 1
Diffraction record for Li2TmScTl4. The X-ray diffraction stick pattern is computed, not measured: it uses a crystal structure in Alexandria, relaxed with PBE and Cu Ka.
Peak positions follow from Bragg's law for the DFT cell and can differ from measured ones.

Crystal structure
Cell: 8.796 8.796 8.796 Å, 33.63 33.63 33.63°
Fractional coordinates of all 8 atoms:
Li1 0.250 0.250 0.250
Li2 0.750 0.750 0.750
Tm1 0.500 0.500 0.500
Sc1 0.000 0.000 0.000
Tl1 0.123 0.123 0.123
Tl2 0.373 0.373 0.373
Tl3 0.627 0.627 0.627
Tl4 0.877 0.877 0.877

Largest 10 diffraction maxima, by angle, 2θ = 5–70°:
- 21.4 deg, I = 9.5
- 24.8 deg, I = 38.7
- 27.0 deg, I = 2.5
- 35.3 deg, I = 100.0
- 41.7 deg, I = 5.0
- 43.6 deg, I = 11.9
- 50.8 deg, I = 17.9
- 57.3 deg, I = 16.1
- 63.3 deg, I = 27.9
- 63.5 deg, I = 8.9



Record 2
Diffraction record for Pa2TiPN6. The X-ray diffraction stick pattern is computed, not measured: it uses a crystal structure in Alexandria, relaxed with PBE and Cu Ka.
Peak positions follow from Bragg's law for the DFT cell and can differ from measured ones.

Crystal structure
Cell: 5.143 5.143 4.526 Å, 90.00 90.00 90.00°
Fractional coordinates of all 10 atoms:
Pa1 0.000 0.500 0.000
Pa2 0.500 0.000 0.000
Ti1 0.000 0.000 0.556
P1 0.500 0.500 0.561
N1 0.000 0.000 0.138
N2 0.268 0.268 0.681
N3 0.268 0.732 0.681
N4 0.500 0.500 0.196
N5 0.732 0.268 0.681
N6 0.732 0.732 0.681

Largest 10 diffraction maxima, by angle, 2θ = 5–70°:
- 19.6 deg, I = 40.6
- 24.5 deg, I = 41.0
- 31.6 deg, I = 100.0
- 34.9 deg, I = 37.3
- 40.3 deg, I = 34.4
- 47.3 deg, I = 21.8
- 50.2 deg, I = 18.8
- 54.0 deg, I = 23.9
- 54.4 deg, I = 12.3
- 60.5 deg, I = 32.1



Record 3
Diffraction record for CeYAsS. The X-ray diffraction stick pattern is computed, not measured: it uses a crystal structure in Alexandria, relaxed with PBE and Cu Ka.
Peak positions follow from Bragg's law for the DFT cell and can differ from measured ones.

Crystal structure
Cell: 4.004 4.004 21.128 Å, 90.00 90.00 120.00°
Fractional coordinates of all 12 atoms:
Ce1 0.000 0.000 0.000
Ce2 0.333 0.667 0.667
Ce3 0.667 0.333 0.333
Y1 0.000 0.000 0.175
Y2 0.333 0.667 0.842
Y3 0.667 0.333 0.508
As1 0.000 0.000 0.758
As2 0.333 0.667 0.424
As3 0.667 0.333 0.091
S1 0.000 0.000 0.582
S2 0.333 0.667 0.249
S3 0.667 0.333 0.915

Largest 10 diffraction maxima, by angle, 2θ = 5–70°:
- 25.3 deg, I = 10.8
- 26.0 deg, I = 52.6
- 27.1 deg, I = 19.7
- 30.8 deg, I = 44.2
- 33.4 deg, I = 100.0
- 39.6 deg, I = 40.2
- 45.3 deg, I = 55.9
- 50.6 deg, I = 10.8
- 51.9 deg, I = 11.2
- 57.4 deg, I = 20.4



Record 4
Diffraction record for Y3Mo. The X-ray diffraction stick pattern is computed, not measured: it uses a crystal structure in Alexandria, relaxed with PBE and Cu Ka.
Peak positions follow from Bragg's law for the DFT cell and can differ from measured ones.

Crystal structure
Cell: 5.947 5.947 5.947 Å, 90.00 90.00 90.00°
Fractional coordinates of all 8 atoms:
Y1 0.000 0.250 0.500
Y2 0.000 0.750 0.500
Y3 0.250 0.500 0.000
Y4 0.500 0.000 0.250
Y5 0.500 0.000 0.750
Y6 0.750 0.500 0.000
Mo1 0.000 0.000 0.000
Mo2 0.500 0.500 0.500

Largest 7 diffraction maxima, by angle, 2θ = 5–70°:
- 30.1 deg, I = 37.0
- 33.7 deg, I = 100.0
- 37.0 deg, I = 83.3
- 53.4 deg, I = 8.0
- 55.7 deg, I = 22.8
- 58.0 deg, I = 43.2
- 62.5 deg, I = 16.6



Record 5
Diffraction record for Y4Er3Th2. The X-ray diffraction stick pattern is computed, not measured: it uses a crystal structure in Alexandria, relaxed with PBE and Cu Ka.
Peak positions follow from Bragg's law for the DFT cell and can differ from measured ones.

Crystal structure
Cell: 3.560 3.560 26.392 Å, 90.00 90.00 120.00°
Fractional coordinates of all 9 atoms:
Y1 0.000 0.000 0.000
Y2 0.000 0.000 0.214
Y3 0.333 0.667 0.324
Y4 0.333 0.667 0.539
Er1 0.000 0.000 0.431
Er2 0.333 0.667 0.106
Er3 0.333 0.667 0.761
Th1 0.000 0.000 0.651
Th2 0.000 0.000 0.870

Largest 10 diffraction maxima, by angle, 2θ = 5–70°:
- 29.0 deg, I = 49.8
- 30.5 deg, I = 46.3
- 30.7 deg, I = 19.0
- 32.0 deg, I = 60.8
- 33.7 deg, I = 100.0
- 42.5 deg, I = 32.1
- 51.3 deg, I = 36.0
- 57.3 deg, I = 32.1
- 60.9 deg, I = 39.0
- 62.8 deg, I = 16.6



Record 6
Diffraction record for TbTm3Ir8. The X-ray diffraction stick pattern is computed, not measured: it uses a crystal structure in Alexandria, relaxed with PBE and Cu Ka.
Peak positions follow from Bragg's law for the DFT cell and can differ from measured ones.

Crystal structure
Cell: 5.341 5.341 8.680 Å, 90.00 90.00 120.00°
Fractional coordinates of all 12 atoms:
Tb1 0.000 0.000 0.000
Tm1 0.000 0.000 0.367
Tm2 0.667 0.333 0.499
Tm3 0.667 0.333 0.865
Ir1 0.163 0.326 0.682
Ir2 0.163 0.837 0.682
Ir3 0.333 0.667 0.432
Ir4 0.333 0.667 0.932
Ir5 0.504 0.007 0.183
Ir6 0.504 0.496 0.183
Ir7 0.674 0.837 0.682
Ir8 0.993 0.496 0.183

Largest 10 diffraction maxima, by angle, 2θ = 5–70°:
- 33.6 deg, I = 24.1
- 36.6 deg, I = 68.6
- 39.6 deg, I = 100.0
- 40.4 deg, I = 98.1
- 41.6 deg, I = 21.1
- 44.4 deg, I = 26.8
- 46.2 deg, I = 15.1
- 62.0 deg, I = 26.7
- 64.1 deg, I = 24.8
- 67.5 deg, I = 32.2



Record 7
Diffraction record for SiAgS2. The X-ray diffraction stick pattern is computed, not measured: it uses a crystal structure in Alexandria, relaxed with PBE and Cu Ka.
Peak positions follow from Bragg's law for the DFT cell and can differ from measured ones.

Crystal structure
Cell: 5.509 5.509 11.780 Å, 90.00 90.00 90.00°
Fractional coordinates of all 16 atoms:
Si1 0.000 0.000 0.000
Si2 0.000 0.500 0.250
Si3 0.500 0.000 0.750
Si4 0.500 0.500 0.500
Ag1 0.000 0.000 0.500
Ag2 0.000 0.500 0.750
Ag3 0.500 0.000 0.250
Ag4 0.500 0.500 0.000
S1 0.202 0.250 0.125
S2 0.250 0.702 0.375
S3 0.250 0.798 0.875
S4 0.298 0.250 0.625
S5 0.702 0.750 0.625
S6 0.750 0.202 0.875
S7 0.750 0.298 0.375
S8 0.798 0.750 0.125

Largest 10 diffraction maxima, by angle, 2θ = 5–70°:
- 17.8 deg, I = 25.5
- 27.5 deg, I = 100.0
- 27.9 deg, I = 18.8
- 32.5 deg, I = 8.6
- 37.3 deg, I = 18.4
- 43.4 deg, I = 6.5
- 45.1 deg, I = 40.6
- 46.6 deg, I = 17.2
- 52.2 deg, I = 15.3
- 55.0 deg, I = 24.7



Record 8
Diffraction record for SnAsPb2Se5. The X-ray diffraction stick pattern is computed, not measured: it uses a crystal structure in Alexandria, relaxed with PBE and Cu Ka.
Peak positions follow from Bragg's law for the DFT cell and can differ from measured ones.

Crystal structure
Cell: 9.562 9.562 12.707 Å, 90.00 90.00 153.85°
Fractional coordinates of all 18 atoms:
Sn1 0.058 0.942 0.500
Sn2 0.942 0.058 0.000
As1 0.281 0.719 0.101
As2 0.719 0.281 0.601
Pb1 0.365 0.635 0.386
Pb2 0.373 0.627 0.750
Pb3 0.627 0.373 0.250
Pb4 0.635 0.365 0.886
Se1 0.024 0.976 0.837
Se2 0.151 0.849 0.064
Se3 0.181 0.819 0.400
Se4 0.216 0.784 0.713
Se5 0.458 0.542 0.118
Se6 0.542 0.458 0.618
Se7 0.784 0.216 0.213
Se8 0.819 0.181 0.900
Se9 0.849 0.151 0.564
Se10 0.976 0.024 0.337

Largest 10 diffraction maxima, by angle, 2θ = 5–70°:
- 23.1 deg, I = 27.3
- 25.4 deg, I = 22.7
- 28.8 deg, I = 29.9
- 29.6 deg, I = 45.0
- 29.9 deg, I = 100.0
- 34.8 deg, I = 26.0
- 38.3 deg, I = 34.9
- 41.8 deg, I = 32.9
- 48.1 deg, I = 28.2
- 52.0 deg, I = 18.7



Record 9
Diffraction record for Ca2GeH. The X-ray diffraction stick pattern is computed, not measured: it uses a crystal structure in Alexandria, relaxed with PBE and Cu Ka.
Peak positions follow from Bragg's law for the DFT cell and can differ from measured ones.

Crystal structure
Cell: 6.049 5.724 11.474 Å, 90.00 117.29 90.00°
Fractional coordinates of all 16 atoms:
Ca1 0.003 0.238 0.411
Ca2 0.003 0.762 0.911
Ca3 0.329 0.232 0.855
Ca4 0.329 0.768 0.355
Ca5 0.671 0.232 0.645
Ca6 0.671 0.768 0.145
Ca7 0.997 0.238 0.089
Ca8 0.997 0.762 0.589
Ge1 0.478 0.272 0.357
Ge2 0.478 0.728 0.857
Ge3 0.522 0.272 0.143
Ge4 0.522 0.728 0.643
H1 0.045 0.176 0.630
H2 0.045 0.824 0.130
H3 0.955 0.176 0.870
H4 0.955 0.824 0.370

Largest 10 diffraction maxima, by angle, 2θ = 5–70°:
- 16.5 deg, I = 37.5
- 17.8 deg, I = 54.5
- 29.1 deg, I = 29.8
- 30.6 deg, I = 22.0
- 31.2 deg, I = 100.0
- 33.3 deg, I = 23.3
- 34.2 deg, I = 57.6
- 35.2 deg, I = 40.8
- 35.7 deg, I = 22.2
- 47.8 deg, I = 30.6



Record 10
Diffraction record for Tb4Pr5Sc. The X-ray diffraction stick pattern is computed, not measured: it uses a crystal structure in Alexandria, relaxed with PBE and Cu Ka.
Peak positions follow from Bragg's law for the DFT cell and can differ from measured ones.

Crystal structure
Cell: 3.644 3.644 25.039 Å, 90.00 90.00 90.00°
Fractional coordinates of all 10 atoms:
Tb1 0.000 0.000 0.102
Tb2 0.000 0.000 0.306
Tb3 0.000 0.000 0.694
Tb4 0.000 0.000 0.898
Pr1 0.500 0.500 0.000
Pr2 0.500 0.500 0.204
Pr3 0.500 0.500 0.408
Pr4 0.500 0.500 0.592
Pr5 0.500 0.500 0.796
Sc1 0.000 0.000 0.500

Largest 10 diffraction maxima, by angle, 2θ = 5–70°:
- 28.3 deg, I = 3.6
- 30.3 deg, I = 100.0
- 34.8 deg, I = 35.6
- 35.9 deg, I = 14.7
- 50.1 deg, I = 12.7
- 50.8 deg, I = 21.7
- 57.4 deg, I = 3.0
- 59.7 deg, I = 29.2
- 61.1 deg, I = 10.9
- 63.1 deg, I = 11.3



Record 11
Diffraction record for InHSe2. The X-ray diffraction stick pattern is computed, not measured: it uses a crystal structure in Alexandria, relaxed with PBE and Cu Ka.
Peak positions follow from Bragg's law for the DFT cell and can differ from measured ones.

Crystal structure
Cell: 15.061 4.166 7.278 Å, 90.00 113.63 90.00°
Fractional coordinates of all 16 atoms:
In1 0.181 0.000 0.289
In2 0.319 0.500 0.711
In3 0.681 0.500 0.289
In4 0.819 0.000 0.711
H1 0.077 0.680 0.894
H2 0.423 0.180 0.106
H3 0.577 0.180 0.894
H4 0.923 0.680 0.106
Se1 0.128 0.992 0.908
Se2 0.130 0.500 0.456
Se3 0.370 0.000 0.544
Se4 0.372 0.492 0.092
Se5 0.628 0.492 0.908
Se6 0.630 0.000 0.456
Se7 0.870 0.500 0.544
Se8 0.872 0.992 0.092

Largest 10 diffraction maxima, by angle, 2θ = 5–70°:
- 12.8 deg, I = 60.5
- 14.3 deg, I = 50.9
- 24.6 deg, I = 100.0
- 25.8 deg, I = 57.2
- 28.4 deg, I = 66.3
- 28.9 deg, I = 33.4
- 33.0 deg, I = 36.4
- 34.2 deg, I = 40.9
- 47.8 deg, I = 48.3
- 49.2 deg, I = 35.3



Record 12
Diffraction record for BaTlIrN2. The X-ray diffraction stick pattern is computed, not measured: it uses a crystal structure in Alexandria, relaxed with PBE and Cu Ka.
Peak positions follow from Bragg's law for the DFT cell and can differ from measured ones.

Crystal structure
Cell: 4.615 4.615 5.287 Å, 90.00 90.00 90.00°
Fractional coordinates of all 5 atoms:
Ba1 0.000 0.000 0.000
Tl1 0.500 0.500 0.500
Ir1 0.500 0.500 0.000
N1 0.000 0.500 0.500
N2 0.500 0.000 0.500

Largest 10 diffraction maxima, by angle, 2θ = 5–70°:
- 19.2 deg, I = 62.5
- 25.6 deg, I = 19.9
- 27.3 deg, I = 100.0
- 33.9 deg, I = 35.7
- 39.0 deg, I = 48.5
- 39.3 deg, I = 21.3
- 44.1 deg, I = 56.8
- 52.7 deg, I = 40.6
- 63.8 deg, I = 19.5
- 67.5 deg, I = 19.3



Repeat the tenth record exactly.
Diffraction record for Tb4Pr5Sc. The X-ray diffraction stick pattern is computed, not measured: it uses a crystal structure in Alexandria, relaxed with PBE and Cu Ka.
Peak positions follow from Bragg's law for the DFT cell and can differ from measured ones.

Crystal structure
Cell: 3.644 3.644 25.039 Å, 90.00 90.00 90.00°
Fractional coordinates of all 10 atoms:
Tb1 0.000 0.000 0.102
Tb2 0.000 0.000 0.306
Tb3 0.000 0.000 0.694
Tb4 0.000 0.000 0.898
Pr1 0.500 0.500 0.000
Pr2 0.500 0.500 0.204
Pr3 0.500 0.500 0.408
Pr4 0.500 0.500 0.592
Pr5 0.500 0.500 0.796
Sc1 0.000 0.000 0.500

Largest 10 diffraction maxima, by angle, 2θ = 5–70°:
- 28.3 deg, I = 3.6
- 30.3 deg, I = 100.0
- 34.8 deg, I = 35.6
- 35.9 deg, I = 14.7
- 50.1 deg, I = 12.7
- 50.8 deg, I = 21.7
- 57.4 deg, I = 3.0
- 59.7 deg, I = 29.2
- 61.1 deg, I = 10.9
- 63.1 deg, I = 11.3



Repeat the ninth record exactly.
Diffraction record for Ca2GeH. The X-ray diffraction stick pattern is computed, not measured: it uses a crystal structure in Alexandria, relaxed with PBE and Cu Ka.
Peak positions follow from Bragg's law for the DFT cell and can differ from measured ones.

Crystal structure
Cell: 6.049 5.724 11.474 Å, 90.00 117.29 90.00°
Fractional coordinates of all 16 atoms:
Ca1 0.003 0.238 0.411
Ca2 0.003 0.762 0.911
Ca3 0.329 0.232 0.855
Ca4 0.329 0.768 0.355
Ca5 0.671 0.232 0.645
Ca6 0.671 0.768 0.145
Ca7 0.997 0.238 0.089
Ca8 0.997 0.762 0.589
Ge1 0.478 0.272 0.357
Ge2 0.478 0.728 0.857
Ge3 0.522 0.272 0.143
Ge4 0.522 0.728 0.643
H1 0.045 0.176 0.630
H2 0.045 0.824 0.130
H3 0.955 0.176 0.870
H4 0.955 0.824 0.370

Largest 10 diffraction maxima, by angle, 2θ = 5–70°:
- 16.5 deg, I = 37.5
- 17.8 deg, I = 54.5
- 29.1 deg, I = 29.8
- 30.6 deg, I = 22.0
- 31.2 deg, I = 100.0
- 33.3 deg, I = 23.3
- 34.2 deg, I = 57.6
- 35.2 deg, I = 40.8
- 35.7 deg, I = 22.2
- 47.8 deg, I = 30.6